No. 1
Calculated X-ray powder pattern of RbZn2SiTe4 for Cu Ka, from a PBE-relaxed structure.
No peak broadening, texture or thermal motion is included.

Principal peaks in the range 2θ = 10–90°, in order of falling intensity:
2theta, intensity
25.04, 100
24.81, 81
28.07, 48
44.54, 47
28.47, 41
42.39, 31

Crystal structure
```
data_RbZn2SiTe4
_chemical_formula_sum 'Rb4 Zn8 Si4 Te16'
_symmetry_space_group_name_H-M 'F m m 2'
_symmetry_Int_Tables_number 42
_symmetry_space_group_name_Hall 'F 2 -2'
_cell_length_a 10.457
_cell_length_b 10.658
_cell_length_c 9.706
_cell_angle_alpha 90.00
_cell_angle_beta 90.00
_cell_angle_gamma 90.00
loop_
_atom_site_label
_atom_site_type_symbol
_atom_site_fract_x
_atom_site_fract_y
_atom_site_fract_z
_atom_site_occupancy
Rb1 Rb 0.000 0.000 0.000 1
Zn1 Zn 0.250 0.250 0.253 1
Si1 Si 0.000 0.000 0.493 1
Te1 Te 0.000 0.193 0.648 1
Te2 Te 0.198 0.000 0.338 1
```

---

No. 2
Calculated X-ray powder pattern of RbV2Si for Cu Ka, from a PBE-relaxed structure.
No peak broadening, texture or thermal motion is included.

Principal peaks in the range 2θ = 10–90°, in order of falling intensity:
2theta, intensity
28.79, 100
24.08, 98
43.64, 69
31.20, 50
59.62, 40
40.43, 39

Crystal structure
```
data_RbV2Si
_chemical_formula_sum 'Rb4 V8 Si4'
_symmetry_space_group_name_H-M 'I 41/a m d'
_symmetry_Int_Tables_number 141
_cell_length_a 4.667
_cell_length_b 4.667
_cell_length_c 18.165
_cell_angle_alpha 90.00
_cell_angle_beta 90.00
_cell_angle_gamma 90.00
loop_
_symmetry_equiv_pos_as_xyz
'x,y,z'
'-x,-y,-z'
'-y+1/4,x+3/4,z+1/4'
'y+1/4,-x+3/4,-z+1/4'
'-x+1/2,-y,z+1/2'
'x+1/2,y,-z+1/2'
'y+1/4,-x+1/4,z+3/4'
'-y+1/4,x+1/4,-z+3/4'
'x,-y,-z'
'-x,y,z'
'-y+1/4,-x+1/4,-z+3/4'
'y+1/4,x+1/4,z+3/4'
'-x+1/2,y,-z+1/2'
'x+1/2,-y,z+1/2'
'y+1/4,x+3/4,-z+1/4'
'-y+1/4,-x+3/4,z+1/4'
'x+1/2,y+1/2,z+1/2'
'-x+1/2,-y+1/2,-z+1/2'
'-y+3/4,x+1/4,z+3/4'
'y+3/4,-x+1/4,-z+3/4'
'-x,-y+1/2,z'
'x,y+1/2,-z'
'y+3/4,-x+3/4,z+1/4'
'-y+3/4,x+3/4,-z+1/4'
'x+1/2,-y+1/2,-z+1/2'
'-x+1/2,y+1/2,z+1/2'
'-y+3/4,-x+3/4,-z+1/4'
'y+3/4,x+3/4,z+1/4'
'-x,y+1/2,-z'
'x,-y+1/2,z'
'y+3/4,x+1/4,-z+3/4'
'-y+3/4,-x+1/4,z+3/4'
loop_
_atom_site_label
_atom_site_type_symbol
_atom_site_fract_x
_atom_site_fract_y
_atom_site_fract_z
_atom_site_occupancy
Rb1 Rb 0.000 0.250 0.375 1
V1 V 0.000 0.000 0.000 1
Si1 Si 0.000 0.250 0.875 1
```

---

No. 3
Calculated X-ray powder pattern of RbVSi2 for Cu Ka, from a PBE-relaxed structure.
No peak broadening, texture or thermal motion is included.

Principal peaks in the range 2θ = 10–90°, in order of falling intensity:
2theta, intensity
25.63, 100
40.01, 29
41.19, 27
32.81, 26
52.67, 25
54.37, 23

Crystal structure
```
data_RbVSi2
_chemical_formula_sum 'Rb4 V4 Si8'
_symmetry_space_group_name_H-M 'I 41/a m d'
_symmetry_Int_Tables_number 141
_cell_length_a 5.460
_cell_length_b 5.460
_cell_length_c 15.972
_cell_angle_alpha 90.00
_cell_angle_beta 90.00
_cell_angle_gamma 90.00
loop_
_symmetry_equiv_pos_as_xyz
'x,y,z'
'-x,-y,-z'
'-y+1/4,x+3/4,z+1/4'
'y+1/4,-x+3/4,-z+1/4'
'-x+1/2,-y,z+1/2'
'x+1/2,y,-z+1/2'
'y+1/4,-x+1/4,z+3/4'
'-y+1/4,x+1/4,-z+3/4'
'x,-y,-z'
'-x,y,z'
'-y+1/4,-x+1/4,-z+3/4'
'y+1/4,x+1/4,z+3/4'
'-x+1/2,y,-z+1/2'
'x+1/2,-y,z+1/2'
'y+1/4,x+3/4,-z+1/4'
'-y+1/4,-x+3/4,z+1/4'
'x+1/2,y+1/2,z+1/2'
'-x+1/2,-y+1/2,-z+1/2'
'-y+3/4,x+1/4,z+3/4'
'y+3/4,-x+1/4,-z+3/4'
'-x,-y+1/2,z'
'x,y+1/2,-z'
'y+3/4,-x+3/4,z+1/4'
'-y+3/4,x+3/4,-z+1/4'
'x+1/2,-y+1/2,-z+1/2'
'-x+1/2,y+1/2,z+1/2'
'-y+3/4,-x+3/4,-z+1/4'
'y+3/4,x+3/4,z+1/4'
'-x,y+1/2,-z'
'x,-y+1/2,z'
'y+3/4,x+1/4,-z+3/4'
'-y+3/4,-x+1/4,z+3/4'
loop_
_atom_site_label
_atom_site_type_symbol
_atom_site_fract_x
_atom_site_fract_y
_atom_site_fract_z
_atom_site_occupancy
Rb1 Rb 0.000 0.250 0.375 1
V1 V 0.000 0.250 0.875 1
Si1 Si 0.000 0.000 0.000 1
```

---

No. 4
Calculated X-ray powder pattern of RbYSi for Cu Ka, from a PBE-relaxed structure.
No peak broadening, texture or thermal motion is included.

Principal peaks in the range 2θ = 10–90°, in order of falling intensity:
2theta, intensity
22.97, 100
26.37, 94
31.47, 88
38.87, 63
26.50, 63
38.74, 63

Crystal structure
```
data_RbYSi
_chemical_formula_sum 'Rb2 Y2 Si2'
_symmetry_space_group_name_H-M 'P -1'
_symmetry_Int_Tables_number 2
_symmetry_space_group_name_Hall '-P 1'
_cell_length_a 3.852
_cell_length_b 4.261
_cell_length_c 14.080
_cell_angle_alpha 98.60
_cell_angle_beta 90.27
_cell_angle_gamma 90.00
loop_
_atom_site_label
_atom_site_type_symbol
_atom_site_fract_x
_atom_site_fract_y
_atom_site_fract_z
_atom_site_occupancy
Rb1 Rb 0.242 0.331 0.158 1
Y1 Y 0.252 0.051 0.604 1
Si1 Si 0.249 0.471 0.442 1
```

---

No. 5
Calculated X-ray powder pattern of RbYSi for Cu Ka, from a PBE-relaxed structure.
No peak broadening, texture or thermal motion is included.

Principal peaks in the range 2θ = 10–90°, in order of falling intensity:
2theta, intensity
26.56, 100
28.19, 56
34.26, 55
44.94, 30
52.23, 28
33.07, 27

Crystal structure
```
data_RbYSi
_chemical_formula_sum 'Rb2 Y2 Si2'
_symmetry_space_group_name_H-M 'P 4/n m m'
_symmetry_Int_Tables_number 129
_cell_length_a 5.234
_cell_length_b 5.234
_cell_length_c 7.951
_cell_angle_alpha 90.00
_cell_angle_beta 90.00
_cell_angle_gamma 90.00
loop_
_symmetry_equiv_pos_as_xyz
'x,y,z'
'-x,-y,-z'
'-y+1/2,x,z'
'y+1/2,-x,-z'
'-x+1/2,-y+1/2,z'
'x+1/2,y+1/2,-z'
'y,-x+1/2,z'
'-y,x+1/2,-z'
'x+1/2,-y,-z'
'-x+1/2,y,z'
'-y,-x,-z'
'y,x,z'
'-x,y+1/2,-z'
'x,-y+1/2,z'
'y+1/2,x+1/2,-z'
'-y+1/2,-x+1/2,z'
loop_
_atom_site_label
_atom_site_type_symbol
_atom_site_fract_x
_atom_site_fract_y
_atom_site_fract_z
_atom_site_occupancy
Rb1 Rb 0.250 0.250 0.118 1
Y1 Y 0.250 0.750 0.500 1
Si1 Si 0.250 0.250 0.662 1
```

---

No. 6
Calculated X-ray powder pattern of RbY2Si2 for Cu Ka, from a PBE-relaxed structure.
No peak broadening, texture or thermal motion is included.

Principal peaks in the range 2θ = 10–90°, in order of falling intensity:
2theta, intensity
35.55, 100
32.02, 98
42.48, 46
22.49, 42
27.16, 36
63.35, 24

Crystal structure
```
data_RbY2Si2
_chemical_formula_sum 'Rb2 Y4 Si4'
_symmetry_space_group_name_H-M 'P 4/m b m'
_symmetry_Int_Tables_number 127
_symmetry_space_group_name_Hall '-P 4 2ab'
_cell_length_a 8.839
_cell_length_b 8.839
_cell_length_c 3.283
_cell_angle_alpha 90.00
_cell_angle_beta 90.00
_cell_angle_gamma 90.00
loop_
_atom_site_label
_atom_site_type_symbol
_atom_site_fract_x
_atom_site_fract_y
_atom_site_fract_z
_atom_site_occupancy
Rb1 Rb 0.000 0.000 0.000 1
Y1 Y 0.135 0.365 0.000 1
Si1 Si 0.160 0.660 0.500 1
```

---

No. 7
Calculated X-ray powder pattern of Rb4SmTm3Te8 for Cu Ka, from a PBE-relaxed structure.
No peak broadening, texture or thermal motion is included.

Principal peaks in the range 2θ = 10–90°, in order of falling intensity:
2theta, intensity
26.71, 100
39.95, 37
36.24, 33
10.35, 30
48.71, 19
64.75, 16

Crystal structure
```
data_Rb4SmTm3Te8
_chemical_formula_sum 'Rb12 Sm3 Tm9 Te24'
_symmetry_space_group_name_H-M 'R -3 m'
_symmetry_Int_Tables_number 166
_symmetry_space_group_name_Hall '-R 3 2"'
_cell_length_a 9.0274
_cell_length_b 9.0274
_cell_length_c 25.6459
_cell_angle_alpha 90.00
_cell_angle_beta 90.00
_cell_angle_gamma 120.00
loop_
_atom_site_label
_atom_site_type_symbol
_atom_site_fract_x
_atom_site_fract_y
_atom_site_fract_z
_atom_site_occupancy
Rb1 Rb 0.0000 0.0000 0.0000 1
Rb2 Rb 0.0000 0.5000 0.0000 1
Sm1 Sm 0.0000 0.0000 0.5000 1
Tm1 Tm 0.0000 0.5000 0.5000 1
Te1 Te 0.0000 0.0000 0.2320 1
Te2 Te 0.0067 0.5033 0.7669 1
```

---

No. 8
Calculated X-ray powder pattern of RbSm2Tl for Cu Ka, from a PBE-relaxed structure.
No peak broadening, texture or thermal motion is included.

Principal peaks in the range 2θ = 10–90°, in order of falling intensity:
2theta, intensity
36.02, 100
29.47, 85
27.39, 82
33.02, 69
47.66, 47
55.84, 38

Crystal structure
```
data_RbSm2Tl
_chemical_formula_sum 'Rb3 Sm6 Tl3'
_symmetry_space_group_name_H-M 'R -3 m'
_symmetry_Int_Tables_number 166
_symmetry_space_group_name_Hall '-R 3 2"'
_cell_length_a 3.8162
_cell_length_b 3.8162
_cell_length_c 37.9843
_cell_angle_alpha 90.00
_cell_angle_beta 90.00
_cell_angle_gamma 120.00
loop_
_atom_site_label
_atom_site_type_symbol
_atom_site_fract_x
_atom_site_fract_y
_atom_site_fract_z
_atom_site_occupancy
Rb1 Rb 0.0000 0.0000 0.0000 1
Sm1 Sm 0.0000 0.0000 0.1036 1
Tl1 Tl 0.0000 0.0000 0.5000 1
```